Simulated powder XRD pattern of CsHf4S8 for CuKα, from a DFT-relaxed cell (GGA-PBE, Alexandria).
Peak positions follow from Bragg's law for the DFT cell and can differ from measured ones.

Lattice parameters (Å, degrees): 9.7003 9.7003 9.7003 43.90 43.90 43.90
Element x y z (fractional)
Cs  0.0000  0.0000  0.0000
Hf  0.0000  0.0000  0.5000
Hf  0.0000  0.5000  0.0000
Hf  0.5000  0.0000  0.0000
Hf  0.5000  0.5000  0.5000
S  0.2226  0.2226  0.2226
S  0.2239  0.7224  0.7224
S  0.2776  0.2776  0.7761
S  0.2776  0.7761  0.2776
S  0.7224  0.2239  0.7224
S  0.7224  0.7224  0.2239
S  0.7761  0.2776  0.2776
S  0.7774  0.7774  0.7774

The 6 most intense peaks (2θ from 10° to 90°), in order of rising 2θ:
two_theta  intensity
10.11  100
20.30  19
29.24  17
31.59  45
37.35  18
39.73  18

---

Simulated powder XRD pattern of Tl8Pb3 for CuKα, from a DFT-relaxed cell (GGA-PBE, Alexandria).
Peak positions follow from Bragg's law for the DFT cell and can differ from measured ones.

Lattice parameters (Å, degrees): 5.9706 5.9706 13.3037 107.78 107.78 49.52
Element x y z (fractional)
Tl  0.0445  0.0445  0.3187
Tl  0.1351  0.1351  0.9537
Tl  0.2294  0.2294  0.5916
Tl  0.3209  0.3209  0.2285
Tl  0.6791  0.6791  0.7715
Tl  0.7706  0.7706  0.4084
Tl  0.8649  0.8649  0.0463
Tl  0.9555  0.9555  0.6813
Pb  0.4078  0.4078  0.8664
Pb  0.5000  0.5000  0.5000
Pb  0.5922  0.5922  0.1336

The 6 most intense peaks (2θ from 10° to 90°), in order of rising 2θ:
two_theta  intensity
31.01  100
31.33  97
34.15  39
35.91  34
38.27  29
50.39  26

---

Simulated powder XRD pattern of DyTm2Sc5 for CuKα, from a DFT-relaxed cell (GGA-PBE, Alexandria).
Peak positions follow from Bragg's law for the DFT cell and can differ from measured ones.

Lattice parameters (Å, degrees): 6.3133 6.3133 7.9445 124.19 124.19 65.47
Element x y z (fractional)
Dy  0.0000  0.0000  0.0000
Tm  0.4918  0.4918  0.0005
Tm  0.5754  0.5754  0.6603
Sc  0.0753  0.0753  0.6581
Sc  0.0779  0.5819  0.1682
Sc  0.4929  0.9928  0.4945
Sc  0.5819  0.0779  0.1682
Sc  0.9928  0.4929  0.4945

The 6 most intense peaks (2θ from 10° to 90°), in order of rising 2θ:
two_theta  intensity
22.51  26
30.23  26
33.76  24
34.73  100
61.01  19
64.95  20

---

Simulated powder XRD pattern of Dy3Tm2Ag2 for CuKα, from a DFT-relaxed cell (GGA-PBE, Alexandria).
Peak positions follow from Bragg's law for the DFT cell and can differ from measured ones.

Lattice parameters (Å, degrees): 14.9524 14.9524 14.9524 166.26 166.26 19.48
Element x y z (fractional)
Dy  0.0000  0.0000  0.0000
Dy  0.1259  0.1259  0.0000
Dy  0.8741  0.8741  0.0000
Tm  0.2903  0.2903  0.0000
Tm  0.7097  0.7097  0.0000
Ag  0.4373  0.4373  0.0000
Ag  0.5627  0.5627  0.0000

The 6 most intense peaks (2θ from 10° to 90°), in order of rising 2θ:
two_theta  intensity
29.20  13
32.86  100
35.49  51
51.07  18
56.91  10
62.07  32

---

Simulated powder XRD pattern of YNi2Pb2 for CuKα, from a DFT-relaxed cell (GGA-PBE, Alexandria).
Peak positions follow from Bragg's law for the DFT cell and can differ from measured ones.

Lattice parameters (Å, degrees): 7.0493 7.0493 4.1949 90.00 90.00 90.00
Element x y z (fractional)
Y  0.0000  0.0000  0.0000
Y  0.5000  0.5000  0.0000
Ni  0.1197  0.3803  0.0000
Ni  0.3803  0.8803  0.0000
Ni  0.6197  0.1197  0.0000
Ni  0.8803  0.6197  0.0000
Pb  0.1760  0.6760  0.5000
Pb  0.3240  0.1760  0.5000
Pb  0.6760  0.8240  0.5000
Pb  0.8240  0.3240  0.5000

The 6 most intense peaks (2θ from 10° to 90°), in order of rising 2θ:
two_theta  intensity
28.31  25
33.20  49
35.62  100
40.47  26
43.13  20
58.28  20

---

Simulated powder XRD pattern of Sm5AgO8 for CuKα, from a DFT-relaxed cell (GGA-PBE, Alexandria).
Peak positions follow from Bragg's law for the DFT cell and can differ from measured ones.

Lattice parameters (Å, degrees): 6.3347 6.3347 6.3347 108.71 108.71 111.01
Element x y z (fractional)
Sm  0.0000  0.0000  0.0000
Sm  0.1352  0.2346  0.6044
Sm  0.4692  0.8648  0.0995
Sm  0.6302  0.5308  0.3956
Sm  0.7654  0.3698  0.9005
Ag  0.2500  0.7500  0.5000
O  0.2386  0.4767  0.1028
O  0.3740  0.1358  0.8972
O  0.3764  0.1460  0.3735
O  0.5233  0.6260  0.7619
O  0.7725  0.0029  0.6265
O  0.8540  0.2275  0.2304
O  0.8642  0.7614  0.2381
O  0.9971  0.6236  0.7696

The 6 most intense peaks (2θ from 10° to 90°), in order of rising 2θ:
two_theta  intensity
29.79  100
30.23  68
38.56  24
38.68  40
39.61  24
64.39  25

---

Simulated powder XRD pattern of NaSi4Pt2 for CuKα, from a DFT-relaxed cell (GGA-PBE, Alexandria).
Peak positions follow from Bragg's law for the DFT cell and can differ from measured ones.

Lattice parameters (Å, degrees): 16.3486 4.1627 6.5869 90.00 90.00 90.00
Element x y z (fractional)
Na  0.1439  0.2500  0.0227
Na  0.3561  0.7500  0.5227
Na  0.6439  0.2500  0.4773
Na  0.8561  0.7500  0.9773
Si  0.0391  0.7500  0.8700
Si  0.0631  0.2500  0.4552
Si  0.1841  0.7500  0.3248
Si  0.1879  0.7500  0.7388
Si  0.3121  0.2500  0.2388
Si  0.3159  0.2500  0.8248
Si  0.4369  0.7500  0.9552
Si  0.4609  0.2500  0.3700
Si  0.5391  0.7500  0.6300
Si  0.5631  0.2500  0.0448
Si  0.6841  0.7500  0.1752
Si  0.6879  0.7500  0.7612
Si  0.8121  0.2500  0.2612
Si  0.8159  0.2500  0.6752
Si  0.9369  0.7500  0.5448
Si  0.9609  0.2500  0.1300
Pt  0.0314  0.7500  0.2516
Pt  0.2121  0.2500  0.5349
Pt  0.2879  0.7500  0.0349
Pt  0.4686  0.2500  0.7516
Pt  0.5314  0.7500  0.2484
Pt  0.7121  0.2500  0.9651
Pt  0.7879  0.7500  0.4651
Pt  0.9686  0.2500  0.7484

The 6 most intense peaks (2θ from 10° to 90°), in order of rising 2θ:
two_theta  intensity
21.74  70
25.31  66
25.90  87
29.23  100
36.48  69
48.57  87

---

Simulated powder XRD pattern of LaSi2O2 for CuKα, from a DFT-relaxed cell (GGA-PBE, Alexandria).
Peak positions follow from Bragg's law for the DFT cell and can differ from measured ones.

Lattice parameters (Å, degrees): 5.1138 5.1138 5.1138 130.46 130.46 72.67
Element x y z (fractional)
La  0.0000  0.0000  0.0000
Si  0.3551  0.3551  0.0000
Si  0.6449  0.6449  0.0000
O  0.2500  0.7500  0.5000
O  0.7500  0.2500  0.5000

The 6 most intense peaks (2θ from 10° to 90°), in order of rising 2θ:
two_theta  intensity
23.40  100
29.48  72
36.82  75
38.95  94
42.18  53
58.75  56

---

Simulated powder XRD pattern of Ac2Cu2Pd5Pt for CuKα, from a DFT-relaxed cell (GGA-PBE, Alexandria).
Peak positions follow from Bragg's law for the DFT cell and can differ from measured ones.

Lattice parameters (Å, degrees): 9.6293 9.6293 4.0675 90.00 90.00 90.00
Element x y z (fractional)
Ac  0.1867  0.3133  0.0000
Ac  0.3133  0.8133  0.0000
Ac  0.6867  0.1867  0.0000
Ac  0.8133  0.6867  0.0000
Cu  0.1106  0.6106  0.0000
Cu  0.3894  0.1106  0.0000
Cu  0.6106  0.8894  0.0000
Cu  0.8894  0.3894  0.0000
Pd  0.0000  0.5000  0.5000
Pd  0.0591  0.7924  0.5000
Pd  0.2076  0.0591  0.5000
Pd  0.2924  0.5591  0.5000
Pd  0.4409  0.2924  0.5000
Pd  0.5000  0.0000  0.5000
Pd  0.5591  0.7076  0.5000
Pd  0.7076  0.4409  0.5000
Pd  0.7924  0.9409  0.5000
Pd  0.9409  0.2076  0.5000
Pt  0.0000  0.0000  0.0000
Pt  0.5000  0.5000  0.0000

The 6 most intense peaks (2θ from 10° to 90°), in order of rising 2θ:
two_theta  intensity
30.22  39
34.35  51
36.87  100
38.55  57
40.40  37
44.55  32

---

Simulated powder XRD pattern of TiTlTe2O6 for CuKα, from a DFT-relaxed cell (GGA-PBE, Alexandria).
Peak positions follow from Bragg's law for the DFT cell and can differ from measured ones.

Lattice parameters (Å, degrees): 6.9467 6.9467 7.3272 103.30 103.30 90.11
Element x y z (fractional)
Ti  0.2080  0.7920  0.7500
Ti  0.7920  0.2080  0.2500
Tl  0.4262  0.5738  0.2500
Tl  0.5738  0.4262  0.7500
Te  0.0473  0.2916  0.7744
Te  0.2916  0.0473  0.2744
Te  0.7084  0.9527  0.7256
Te  0.9527  0.7084  0.2256
O  0.0788  0.2106  0.2090
O  0.0998  0.6993  0.4766
O  0.2106  0.0788  0.7090
O  0.2354  0.5119  0.7857
O  0.3007  0.9002  0.0234
O  0.4881  0.7646  0.7143
O  0.5119  0.2354  0.2857
O  0.6993  0.0998  0.9766
O  0.7646  0.4881  0.2143
O  0.7894  0.9212  0.2910
O  0.9002  0.3007  0.5234
O  0.9212  0.7894  0.7910

The 6 most intense peaks (2θ from 10° to 90°), in order of rising 2θ:
two_theta  intensity
25.72  84
26.50  54
30.32  100
32.14  37
33.21  40
41.12  23